[1]
Structure and computed powder X-ray diffraction pattern of Rb2TlInBr6 (DFT lattice parameters and positions (PBE); Cu Kα (λ = 1.5418 Å)).
Intensities are scaled so that the largest is 1000.

Most intense lines, 10 to 90 degrees two-theta, by intensity:
two_theta  I_rel
30.5  1000
43.6  708
21.4  567
15.1  557
72.0  285
34.2  273
37.6  245
26.3  245

a b c (Å): 11.731 11.731 11.731
angles (deg): 90.00 90.00 90.00
Space group Fm-3m (No. 225)
One atom of each set of equivalent atoms:
1 Rb 0.250 0.250 0.250 x8
2 Tl 0.000 0.000 0.000 x4
3 In 0.000 0.000 0.500 x4
4 Br 0.000 0.000 0.269 x24

=====

[2]
Structure and computed powder X-ray diffraction pattern of Dy7Rh3 (DFT lattice parameters and positions (PBE); Cu Kα (λ = 1.5418 Å)).
Intensities are scaled so that the largest is 1000.

Most intense lines, 10 to 90 degrees two-theta, by intensity:
two_theta  I_rel
31.4  1000
34.9  543
30.9  435
36.1  429
36.7  355
55.3  236
55.9  228
56.2  219

a b c (Å): 9.8003 9.8003 6.1544
angles (deg): 90.00 90.00 120.00
Space group P6_3mc (No. 186)
One atom of each set of equivalent atoms:
1 Dy 0.0813 0.5407 0.0000 x6
2 Dy 0.1245 0.2491 0.6950 x6
3 Dy 0.3333 0.6667 0.4877 x2
4 Rh 0.1896 0.3792 0.2651 x6

=====

[3]
Structure and computed powder X-ray diffraction pattern of Rb3TaF12 (DFT lattice parameters and positions (PBE); Cu Kα (λ = 1.5418 Å)).
Intensities are scaled so that the largest is 1000.

Most intense lines, 10 to 90 degrees two-theta, by intensity:
two_theta  I_rel
13.4  1000
11.5  727
27.1  308
33.5  252
21.6  216
34.4  190
23.0  172
11.9  157

a b c (Å): 7.372 14.852 7.749
angles (deg): 90.00 94.85 90.00
Space group C2/m (No. 12)
One atom of each set of equivalent atoms:
1 Rb 0.000 0.000 0.000 x2
2 Rb 0.250 0.250 0.500 x4
3 Ta 0.000 0.000 0.500 x2
4 F 0.100 0.084 0.681 x8
5 F 0.221 0.078 0.414 x8
6 F 0.243 0.361 0.814 x8

=====

[4]
Structure and computed powder X-ray diffraction pattern of LaCeNiPt (DFT lattice parameters and positions (PBE); Cu Kα (λ = 1.5418 Å)).
Intensities are scaled so that the largest is 1000.

Most intense lines, 10 to 90 degrees two-theta, by intensity:
two_theta  I_rel
32.0  1000
39.5  573
41.0  210
15.9  180
38.2  145
33.6  142
47.5  138
53.0  129

a b c (Å): 4.402 3.830 11.175
angles (deg): 90.00 90.00 90.00
Space group Amm2 (No. 38)
One atom of each set of equivalent atoms:
1 La 0.000 0.000 0.000 x2
2 Ce 0.500 0.000 0.733 x2
3 Ni 0.500 0.000 0.439 x2
4 Pt 0.000 0.000 0.273 x2

=====

[5]
Structure and computed powder X-ray diffraction pattern of Tb5Si4 (DFT lattice parameters and positions (PBE); Cu Kα (λ = 1.5418 Å)).
Intensities are scaled so that the largest is 1000.

Most intense lines, 10 to 90 degrees two-theta, by intensity:
two_theta  I_rel
32.3  1000
33.7  745
31.9  684
30.1  503
27.2  474
34.0  459
57.3  444
26.0  427

a b c (Å): 7.462 14.688 7.719
angles (deg): 90.00 90.00 90.00
Space group Pnma (No. 62)
One atom of each set of equivalent atoms:
1 Tb 0.028 0.098 0.183 x8
2 Tb 0.152 0.750 0.514 x4
3 Tb 0.179 0.123 0.681 x8
4 Si 0.026 0.750 0.103 x4
5 Si 0.147 0.540 0.472 x8
6 Si 0.232 0.250 0.375 x4

=====

[6]
Structure and computed powder X-ray diffraction pattern of BaAs2O9 (DFT lattice parameters and positions (PBE); Cu Kα (λ = 1.5418 Å)).
Intensities are scaled so that the largest is 1000.

Most intense lines, 10 to 90 degrees two-theta, by intensity:
two_theta  I_rel
24.4  1000
23.9  804
22.1  625
11.9  551
29.4  464
27.5  464
25.1  451
36.9  380

a b c (Å): 8.573 9.698 11.434
angles (deg): 89.66 73.74 66.11
Space group P-1 (No. 2)
One atom of each set of equivalent atoms:
1 Ba 0.067 0.046 0.238 x2
2 Ba 0.406 0.457 0.744 x2
3 As 0.066 0.238 0.957 x2
4 As 0.106 0.708 0.434 x2
5 As 0.412 0.830 0.571 x2
6 As 0.492 0.251 0.056 x2
7 O 0.002 0.456 0.732 x2
8 O 0.014 0.401 0.589 x2
9 O 0.047 0.147 0.458 x2
10 O 0.081 0.097 0.868 x2
11 O 0.082 0.708 0.903 x2
12 O 0.103 0.566 0.179 x2
13 O 0.198 0.752 0.293 x2
14 O 0.215 0.315 0.913 x2
15 O 0.251 0.017 0.606 x2
16 O 0.281 0.246 0.096 x2
17 O 0.282 0.583 0.483 x2
18 O 0.293 0.722 0.634 x2
19 O 0.339 0.914 0.022 x2
20 O 0.404 0.851 0.247 x2
21 O 0.457 0.168 0.336 x2
22 O 0.472 0.228 0.579 x2
23 O 0.497 0.612 0.042 x2
24 O 0.500 0.315 0.194 x2

=====

[7]
Structure and computed powder X-ray diffraction pattern of V3S (DFT lattice parameters and positions (PBE); Cu Kα (λ = 1.5418 Å)).
Intensities are scaled so that the largest is 1000.

Most intense lines, 10 to 90 degrees two-theta, by intensity:
two_theta  I_rel
39.9  1000
44.5  773
41.3  709
41.0  592
43.4  531
48.0  516
49.8  209
47.8  199

a b c (Å): 9.334 9.334 4.636
angles (deg): 90.00 90.00 90.00
Space group P4_2/nbc (No. 133, origin choice 2)
One atom of each set of equivalent atoms:
1 V 0.048 0.048 0.250 x8
2 V 0.103 0.750 0.000 x8
3 V 0.160 0.160 0.750 x8
4 S 0.040 0.750 0.500 x8

=====

> Number 7 is which compound?

V3S